1.
Starting from a structure optimized by DFT (GGA-PBE), the X-ray powder pattern of Pu4IrPd was calculated for Cu Kα X-rays.
No peak broadening, texture or thermal motion is included.

Atomic structure:
Cell: 4.7050 5.1962 5.3380 Å, 80.95 70.23 78.00°
Fractional positions:
Pu 0.0000 0.0000 0.0000
Pu 0.0660 0.5524 0.5852
Pu 0.3196 0.0296 0.3114
Pu 0.3933 0.5770 0.8769
Ir 0.6546 0.0835 0.6538
Pd 0.7382 0.4873 0.2415

Principal peaks in the range 5 to 70 degrees two-theta, most intense first:
2θ 35.1, I = 1000; 2θ 36.9, I = 888; 2θ 35.5, I = 854; 2θ 35.3, I = 567; 2θ 36.3, I = 449; 2θ 39.6, I = 397; 2θ 39.5, I = 317; 2θ 47.1, I = 268; 2θ 47.5, I = 216; 2θ 45.4, I = 214

2.
Starting from a structure optimized by DFT (GGA-PBE), the X-ray powder pattern of ZrVCl was calculated for Cu Kα X-rays.
No peak broadening, texture or thermal motion is included.

Atomic structure:
Cell: 4.7404 4.7419 11.3667 Å, 90.00 101.87 90.00°
Fractional positions:
Zr 0.1068 0.0000 0.2165
Zr 0.3932 0.5000 0.7835
Zr 0.6068 0.5000 0.2165
Zr 0.8932 0.0000 0.7835
V 0.2454 0.2493 0.9906
V 0.2546 0.7493 0.0094
V 0.7454 0.7493 0.9906
V 0.7546 0.2493 0.0094
Cl 0.1705 0.5002 0.3456
Cl 0.3295 0.0002 0.6544
Cl 0.6705 0.0002 0.3456
Cl 0.8295 0.5002 0.6544

Principal peaks in the range 5 to 70 degrees two-theta, most intense first:
2θ 7.9, I = 1000; 2θ 33.5, I = 717; 2θ 41.4, I = 653; 2θ 26.9, I = 303; 2θ 45.5, I = 205; 2θ 15.9, I = 200; 2θ 54.8, I = 198; 2θ 45.6, I = 176; 2θ 65.7, I = 137; 2θ 40.5, I = 123

3.
Starting from a structure optimized by DFT (GGA-PBE), the X-ray powder pattern of PaCdPN was calculated for Cu Kα X-rays.
No peak broadening, texture or thermal motion is included.

Atomic structure:
Cell: 11.8297 11.8297 11.8297 Å, 19.05 19.05 19.05°
Fractional positions:
Pa 0.1251 0.1251 0.1251
Pa 0.8749 0.8749 0.8749
Cd 0.3015 0.3015 0.3015
Cd 0.6985 0.6985 0.6985
P 0.4090 0.4090 0.4090
P 0.5910 0.5910 0.5910
N 0.1903 0.1903 0.1903
N 0.8097 0.8097 0.8097

Principal peaks in the range 5 to 70 degrees two-theta, most intense first:
2θ 31.9, I = 1000; 2θ 29.3, I = 964; 2θ 28.2, I = 907; 2θ 46.4, I = 761; 2θ 7.6, I = 629; 2θ 56.7, I = 481; 2θ 38.9, I = 440; 2θ 30.8, I = 440; 2θ 49.8, I = 290; 2θ 52.2, I = 266

4.
Starting from a structure optimized by DFT (GGA-PBE), the X-ray powder pattern of Pr6Te3P2Br was calculated for Cu Kα X-rays.
No peak broadening, texture or thermal motion is included.

Atomic structure:
Cell: 9.8525 9.8525 8.9309 Å, 103.45 103.45 25.32°
Fractional positions:
Pr 0.0175 0.0175 0.2599
Pr 0.3247 0.3247 0.4361
Pr 0.3270 0.3270 0.8775
Pr 0.6730 0.6730 0.1225
Pr 0.6753 0.6753 0.5639
Pr 0.9825 0.9825 0.7401
Te 0.1592 0.1592 0.8359
Te 0.5000 0.5000 0.5000
Te 0.8408 0.8408 0.1641
P 0.1699 0.1699 0.3376
P 0.8301 0.8301 0.6624
Br 0.5000 0.5000 0.0000

Principal peaks in the range 5 to 70 degrees two-theta, most intense first:
2θ 28.7, I = 1000; 2θ 41.0, I = 225; 2θ 41.2, I = 222; 2θ 41.8, I = 131; 2θ 51.5, I = 123; 2θ 40.4, I = 120; 2θ 59.6, I = 75; 2θ 31.5, I = 69; 2θ 68.5, I = 59; 2θ 25.1, I = 53

5.
Starting from a structure optimized by DFT (GGA-PBE), the X-ray powder pattern of Mg16MnAl12 was calculated for Cu Kα X-rays.
No peak broadening, texture or thermal motion is included.

Atomic structure:
Cell: 9.0510 9.0510 9.0327 Å, 109.41 109.41 109.38°
Fractional positions:
Mg 0.0000 0.0000 0.0000
Mg 0.0049 0.3968 0.6899
Mg 0.0164 0.0164 0.6560
Mg 0.2827 0.5979 0.6032
Mg 0.3156 0.7143 0.3192
Mg 0.3435 0.3435 0.3507
Mg 0.3968 0.0049 0.6899
Mg 0.4001 0.6715 0.9944
Mg 0.5979 0.2827 0.6032
Mg 0.6020 0.6020 0.2921
Mg 0.6536 0.9982 0.0040
Mg 0.6715 0.4001 0.9944
Mg 0.6825 0.9977 0.4001
Mg 0.7143 0.3156 0.3192
Mg 0.9982 0.6536 0.0040
Mg 0.9977 0.6825 0.4001
Mn 0.3155 0.3155 0.6936
Al 0.0070 0.1890 0.3781
Al 0.1820 0.8148 0.8194
Al 0.1861 0.3657 0.0028
Al 0.1890 0.0070 0.3781
Al 0.3647 0.9955 0.1872
Al 0.3657 0.1861 0.0028
Al 0.6199 0.6199 0.8136
Al 0.6362 0.8215 0.6395
Al 0.8148 0.1820 0.8194
Al 0.8154 0.8154 0.1811
Al 0.8215 0.6362 0.6395
Al 0.9955 0.3647 0.1872

Principal peaks in the range 5 to 70 degrees two-theta, most intense first:
2θ 36.4, I = 1000; 2θ 36.5, I = 869; 2θ 40.5, I = 246; 2θ 40.4, I = 242; 2θ 65.7, I = 208; 2θ 65.6, I = 183; 2θ 44.2, I = 159; 2θ 42.4, I = 138; 2θ 44.1, I = 133; 2θ 34.3, I = 121

6.
Starting from a structure optimized by DFT (GGA-PBE), the X-ray powder pattern of Nd2Dy4Tm5 was calculated for Cu Kα X-rays.
No peak broadening, texture or thermal motion is included.

Atomic structure:
Cell: 3.5401 8.6728 11.7439 Å, 75.90 81.35 89.97°
Fractional positions:
Nd 0.0925 0.2299 0.3165
Nd 0.9075 0.7701 0.6835
Dy 0.1821 0.9537 0.1355
Dy 0.4538 0.1398 0.5928
Dy 0.5462 0.8602 0.4072
Dy 0.8179 0.0463 0.8645
Tm 0.0000 0.5000 0.5000
Tm 0.2711 0.6803 0.9570
Tm 0.3633 0.4076 0.7737
Tm 0.6367 0.5924 0.2263
Tm 0.7289 0.3197 0.0430

Principal peaks in the range 5 to 70 degrees two-theta, most intense first:
2θ 30.9, I = 1000; 2θ 35.9, I = 506; 2θ 51.6, I = 240; 2θ 61.4, I = 213; 2θ 61.4, I = 178; 2θ 64.4, I = 123; 2θ 51.7, I = 120; 2θ 61.3, I = 36

7.
Starting from a structure optimized by DFT (GGA-PBE), the X-ray powder pattern of ZrCd2SbO6 was calculated for Cu Kα X-rays.
No peak broadening, texture or thermal motion is included.

Atomic structure:
Cell: 5.8841 5.8841 5.8841 Å, 57.53 57.53 57.53°
Fractional positions:
Zr 0.0000 0.0000 0.0000
Cd 0.2239 0.2239 0.2239
Cd 0.7289 0.7289 0.7289
Sb 0.5016 0.5016 0.5016
O 0.1432 0.3664 0.7747
O 0.2714 0.8655 0.6430
O 0.3664 0.7747 0.1432
O 0.6430 0.2714 0.8655
O 0.7747 0.1432 0.3664
O 0.8655 0.6430 0.2714

Principal peaks in the range 5 to 70 degrees two-theta, most intense first:
2θ 30.4, I = 1000; 2θ 31.6, I = 873; 2θ 44.4, I = 446; 2θ 55.5, I = 383; 2θ 56.3, I = 255; 2θ 49.2, I = 160; 2θ 53.3, I = 156; 2θ 66.0, I = 114; 2θ 63.3, I = 99; 2θ 21.8, I = 86

8.
Starting from a structure optimized by DFT (GGA-PBE), the X-ray powder pattern of K2Np2Cl2O5 was calculated for Cu Kα X-rays.
No peak broadening, texture or thermal motion is included.

Atomic structure:
Cell: 13.1070 13.1070 13.1070 Å, 161.42 161.42 26.40°
Fractional positions:
K 0.1740 0.1740 0.0000
K 0.8260 0.8260 0.0000
Np 0.4190 0.4190 0.0000
Np 0.5810 0.5810 0.0000
Cl 0.3060 0.3060 0.0000
Cl 0.6940 0.6940 0.0000
O 0.0900 0.5900 0.5000
O 0.4100 0.9100 0.5000
O 0.5000 0.5000 0.0000
O 0.5900 0.0900 0.5000
O 0.9100 0.4100 0.5000

Principal peaks in the range 5 to 70 degrees two-theta, most intense first:
2θ 21.3, I = 1000; 2θ 6.9, I = 532; 2θ 32.4, I = 462; 2θ 29.9, I = 421; 2θ 27.4, I = 396; 2θ 13.9, I = 252; 2θ 48.2, I = 238; 2θ 42.7, I = 238; 2θ 20.9, I = 237; 2θ 54.6, I = 215